No. 1
Starting from a DFT-relaxed cell (PBE, the Materials Project), the X-ray diffraction stick pattern of Ce4Te3N2 was simulated for Cu Kα, 1.54184 Å.

Peak list (10 most intense, 2θ = 15–90°, by angle)
| d [Å] | I_rel | index |
| --- | --- | --- |
| 3.552 | 29 | 1 2 2 |
| 3.264 | 44 | 1 3 1 |
| 3.245 | 43 | 1 1 3 |
| 2.978 | 75 | 2 2 1 |
| 2.926 | 100 | 1 3 2 |
| 2.637 | 30 | 2 0 3 |
| 2.566 | 42 | 0 2 4 |
| 2.198 | 19 | 3 2 1 |
| 1.925 | 18 | 0 6 0 |
| 1.428 | 16 | 4 3 4 |

Cell and atoms:
Unit cell a=7.296 b=11.554 c=11.448 alpha=90.00 beta=90.00 gamma=90.00
Space group Pnma (No. 62)
Unique sites:
1 Ce 0.087 0.250 0.160 x4
2 Ce 0.150 0.051 0.891 x8
3 Ce 0.220 0.250 0.525 x4
4 Te 0.067 0.576 0.636 x8
5 Te 0.080 0.750 0.269 x4
6 N 0.055 0.620 0.968 x8

No. 2
Starting from a DFT-relaxed cell (PBE, the Materials Project), the X-ray diffraction stick pattern of CeU4N5 was simulated for Cu Kα, 1.54184 Å.

Peak list (10 most intense, 2θ = 15–90°, by angle)
| d [Å] | I_rel | index |
| --- | --- | --- |
| 2.827 | 100 | 0 1 5 |
| 2.448 | 66 | 1 0 10 |
| 2.207 | 1 | 1 0 13 |
| 1.731 | 46 | 1 1 0 |
| 1.476 | 46 | 2 0 5 |
| 1.414 | 16 | 0 2 10 |
| 1.224 | 8 | 2 0 20 |
| 1.124 | 16 | 1 2 5 |
| 1.123 | 5 | 0 1 35 |
| 1.095 | 23 | 2 1 10 |

Cell and atoms:
Unit cell a=3.4641 b=3.4641 c=42.3682 alpha=90.00 beta=90.00 gamma=120.00
Space group R-3m (No. 166, hexagonal axes)
Unique sites:
1 Ce 0.0000 0.0000 0.0000 x3
2 U 0.0000 0.0000 0.1996 x6
3 U 0.0000 0.0000 0.4017 x6
4 N 0.0000 0.0000 0.1008 x6
5 N 0.0000 0.0000 0.2956 x6
6 N 0.0000 0.0000 0.5000 x3

No. 3
Starting from a DFT-relaxed cell (PBE, the Materials Project), the X-ray diffraction stick pattern of CeUN2 was simulated for Cu Kα, 1.54184 Å.

Peak list (10 most intense, 2θ = 15–90°, by angle)
| d [Å] | I_rel | index |
| --- | --- | --- |
| 4.931 | 6 | 0 0 1 |
| 3.487 | 5 | 1 0 0 |
| 2.847 | 100 | 1 0 1 |
| 2.466 | 69 | 1 1 0 |
| 1.744 | 48 | 2 0 0 |
| 1.487 | 46 | 2 1 1 |
| 1.424 | 16 | 2 0 2 |
| 1.233 | 8 | 2 2 0 |
| 1.131 | 20 | 3 0 1 |
| 1.103 | 23 | 3 1 0 |

Cell and atoms:
Unit cell a=3.487 b=3.487 c=4.931 alpha=90.00 beta=90.00 gamma=90.00
Space group P4/mmm (No. 123)
Unique sites:
1 Ce 0.000 0.000 0.000 x1
2 U 0.500 0.500 0.500 x1
3 N 0.000 0.000 0.500 x1
4 N 0.500 0.500 0.000 x1

No. 4
Starting from a DFT-relaxed cell (PBE, the Materials Project), the X-ray diffraction stick pattern of CeUN2 was simulated for Cu Kα, 1.54184 Å.

Peak list (10 most intense, 2θ = 15–90°, by angle)
| d [Å] | I_rel | index |
| --- | --- | --- |
| 5.709 | 9 | 0 0 3 |
| 2.984 | 5 | 1 0 1 |
| 2.856 | 100 | 0 0 6 |
| 2.474 | 68 | 1 0 4 |
| 1.749 | 47 | 1 1 0 |
| 1.492 | 46 | 1 0 10 |
| 1.428 | 16 | 0 2 4 |
| 1.237 | 8 | 2 0 8 |
| 1.135 | 21 | 0 1 14 |
| 1.106 | 23 | 2 1 4 |

Cell and atoms:
Unit cell a=3.4995 b=3.4995 c=17.1256 alpha=90.00 beta=90.00 gamma=120.00
Space group R-3m (No. 166, hexagonal axes)
Unique sites:
1 Ce 0.0000 0.0000 0.0000 x3
2 U 0.0000 0.0000 0.5000 x3
3 N 0.0000 0.0000 0.2399 x6